(1)
Calculated XRD peak list of Y3InC for Cu Kα, 1.54184 Å, from the PBE geometry in the Materials Project.
Lines closer than 0.1° are merged.

Structural model:
Cell lengths 4.9293, 4.9293, 4.9293 Å; angles 90.00, 90.00, 90.00 degrees
Space group Pm-3m (No. 221)
Unique sites:
1 Y 0.0000 0.0000 0.5000 x3
2 In 0.5000 0.5000 0.5000 x1
3 C 0.0000 0.0000 0.0000 x1

Peak list (10 most intense, 10 to 90 degrees two-theta, sorted by position)
| 2theta | d (Å) | I (rel.) | (hkl) |
| --- | --- | --- | --- |
| 25.56 | 3.486 | 3 | 1 1 0 |
| 31.43 | 2.846 | 100 | 1 1 1 |
| 36.46 | 2.465 | 56 | 2 0 0 |
| 45.05 | 2.012 | 1 | 2 1 1 |
| 52.51 | 1.743 | 38 | 2 2 0 |
| 62.49 | 1.486 | 40 | 3 1 1 |
| 65.61 | 1.423 | 12 | 2 2 2 |
| 77.45 | 1.232 | 6 | 4 0 0 |
| 85.96 | 1.131 | 16 | 3 3 1 |
| 88.76 | 1.102 | 17 | 4 2 0 |

(2)
Calculated XRD peak list of IrC4 for Cu Kα, 1.54184 Å, from the PBE geometry in the Materials Project.
Lines closer than 0.1° are merged.

Structural model:
Cell lengths 4.2380, 4.2380, 13.8193 Å; angles 90.00, 90.00, 120.00 degrees
Space group P6_3/mmc (No. 194)
Unique sites:
1 Ir 0.0000 0.0000 0.2500 x2
2 Ir 0.3333 0.6667 0.2500 x2
3 C 0.0000 0.3321 0.0000 x12
4 C 0.3333 0.6667 0.7014 x4

Peak list (10 most intense, 10 to 90 degrees two-theta, sorted by position)
| 2theta | d (Å) | I (rel.) | (hkl) |
| --- | --- | --- | --- |
| 12.81 | 6.910 | 100 | 0 0 2 |
| 25.10 | 3.547 | 26 | 1 0 1 |
| 25.79 | 3.455 | 42 | 0 0 4 |
| 31.16 | 2.870 | 17 | 1 0 3 |
| 40.87 | 2.208 | 10 | 1 0 5 |
| 42.67 | 2.119 | 22 | 1 1 0 |
| 44.73 | 2.026 | 50 | 1 1 2 |
| 50.53 | 1.806 | 25 | 1 1 4 |
| 59.26 | 1.559 | 19 | 1 1 6 |
| 70.31 | 1.339 | 9 | 1 1 8 |

(3)
Calculated XRD peak list of IrC4 for Cu Kα, 1.54184 Å, from the PBE geometry in the Materials Project.
Lines closer than 0.1° are merged.

Structural model:
Cell lengths 3.4383, 3.4383, 4.4040 Å; angles 90.00, 90.00, 90.00 degrees
Space group P4/mmm (No. 123)
Unique sites:
1 Ir 0.0000 0.0000 0.0000 x1
2 C 0.2025 0.5000 0.5000 x4

Peak list (10 most intense, 10 to 90 degrees two-theta, sorted by position)
| 2theta | d (Å) | I (rel.) | (hkl) |
| --- | --- | --- | --- |
| 20.16 | 4.404 | 38 | 0 0 1 |
| 25.91 | 3.438 | 66 | 1 0 0 |
| 33.05 | 2.710 | 100 | 1 0 1 |
| 36.97 | 2.431 | 28 | 1 1 0 |
| 40.99 | 2.202 | 17 | 0 0 2 |
| 42.47 | 2.128 | 49 | 1 1 1 |
| 49.13 | 1.854 | 25 | 1 0 2 |
| 60.18 | 1.538 | 19 | 2 1 0 |
| 64.15 | 1.452 | 21 | 2 1 1 |
| 75.40 | 1.261 | 19 | 2 1 2 |

(4)
Calculated XRD peak list of IrC4 for Cu Kα, 1.54184 Å, from the PBE geometry in the Materials Project.
Lines closer than 0.1° are merged.

Structural model:
Cell lengths 4.8912, 4.8912, 5.9072 Å; angles 90.00, 90.00, 120.00 degrees
Space group P3_121 (No. 152)
Unique sites:
1 Ir 0.0000 0.3202 0.1667 x3
2 C 0.0000 0.1531 0.6667 x3
3 C 0.0000 0.5787 0.6667 x3
4 C 0.1571 0.4425 0.5216 x6

Peak list (10 most intense, 10 to 90 degrees two-theta, sorted by position)
| 2theta | d (Å) | I (rel.) | (hkl) |
| --- | --- | --- | --- |
| 25.88 | 3.442 | 100 | 1 0 1 |
| 36.75 | 2.446 | 54 | 1 1 0 |
| 37.11 | 2.423 | 54 | 0 1 2 |
| 45.50 | 1.994 | 28 | 0 2 1 |
| 53.22 | 1.721 | 17 | 2 0 2 |
| 59.85 | 1.545 | 28 | 2 1 1 |
| 60.35 | 1.534 | 27 | 1 1 3 |
| 66.42 | 1.408 | 18 | 1 2 2 |
| 83.99 | 1.152 | 10 | 1 3 1 |
| 84.42 | 1.147 | 9 | 3 0 3 |

(5)
Calculated XRD peak list of IrC4 for Cu Kα, 1.54184 Å, from the PBE geometry in the Materials Project.
Lines closer than 0.1° are merged.

Structural model:
Cell lengths 4.3261, 8.9027, 4.9021 Å; angles 90.00, 90.00, 90.00 degrees
Space group Ccce (No. 68, origin choice 2)
Unique sites:
1 Ir 0.0000 0.2500 0.2500 x4
2 C 0.0841 0.0167 0.1262 x16

Peak list (10 most intense, 10 to 90 degrees two-theta, sorted by position)
| 2theta | d (Å) | I (rel.) | (hkl) |
| --- | --- | --- | --- |
| 19.95 | 4.451 | 33 | 0 2 0 |
| 29.31 | 3.048 | 100 | 1 1 1 |
| 36.66 | 2.451 | 14 | 0 0 2 |
| 40.53 | 2.226 | 15 | 0 4 0 |
| 41.23 | 2.189 | 36 | 1 3 1 |
| 41.76 | 2.163 | 11 | 2 0 0 |
| 42.08 | 2.147 | 18 | 0 2 2 |
| 59.20 | 1.561 | 15 | 1 5 1 |
| 60.78 | 1.524 | 13 | 2 2 2 |
| 61.56 | 1.507 | 12 | 1 1 3 |

(6)
Calculated XRD peak list of Ir4C5 for Cu Kα, 1.54184 Å, from the PBE geometry in the Materials Project.
Lines closer than 0.1° are merged.

Structural model:
Cell lengths 5.0424, 5.0424, 15.0716 Å; angles 90.00, 90.00, 90.00 degrees
Space group P-4c2 (No. 116)
Unique sites:
1 Ir 0.0000 0.0000 0.0000 x2
2 Ir 0.0000 0.0000 0.2500 x2
3 Ir 0.0000 0.5000 0.0601 x4
4 Ir 0.0000 0.5000 0.3265 x4
5 Ir 0.5000 0.5000 0.1353 x4
6 C 0.1603 0.2299 0.1468 x8
7 C 0.1896 0.3336 0.9457 x8
8 C 0.3223 0.3223 0.7500 x4

Peak list (10 most intense, 10 to 90 degrees two-theta, sorted by position)
| 2theta | d (Å) | I (rel.) | (hkl) |
| --- | --- | --- | --- |
| 29.60 | 3.018 | 100 | 1 0 4 |
| 35.61 | 2.521 | 63 | 2 0 0 |
| 46.96 | 1.935 | 64 | 2 1 4 |
| 51.24 | 1.783 | 26 | 2 2 0 |
| 55.14 | 1.666 | 33 | 1 1 8 |
| 60.30 | 1.535 | 16 | 3 0 4 |
| 72.03 | 1.311 | 16 | 3 2 4 |
| 78.60 | 1.217 | 23 | 3 1 8 |
| 83.02 | 1.163 | 12 | 4 1 4 |
| 86.27 | 1.127 | 12 | 4 2 0 |